ZrNbB: computed powder XRD pattern (Cu Kα (weighted mean of Kα1 and Kα2)), based on a structure optimized by DFT (GGA-PBE).

Atomic structure:
```
data_ZrNbB
_chemical_formula_sum 'Zr4 Nb4 B4'
_cell_length_a 9.3400
_cell_length_b 3.4456
_cell_length_c 6.8336
_cell_angle_alpha 90.00
_cell_angle_beta 123.95
_cell_angle_gamma 90.00
_space_group_name_H-M_alt 'C 1 m 1'
_space_group_IT_number 8
loop_
_space_group_symop_operation_xyz
'x,y,z'
'x,-y,z'
'x+1/2,y+1/2,z'
'x+1/2,-y+1/2,z'
loop_
_atom_site_label
_atom_site_fract_x
_atom_site_fract_y
_atom_site_fract_z
Zr1 0.0000 0.0000 0.0000
Zr2 0.2266 0.0000 0.5559
Nb1 0.1328 0.5000 0.8276
Nb2 0.4015 0.0000 0.2706
B1 0.2203 0.5000 0.2785
B2 0.4364 0.5000 0.5441
```

Most intense lines, 2θ from 15° to 90°, in order of falling intensity:
2.394 Å, rel. 100
2.300 Å, rel. 98
2.594 Å, rel. 74
3.063 Å, rel. 48
2.309 Å, rel. 36
2.270 Å, rel. 34